No. 1
This entry pairs a crystal structure of ThNiP2O8 with its theoretical powder XRD pattern. Radiation: a wavelength of 1.5418 Å. Structure: the PBE+U geometry in Alexandria.

Structure:
```
ThNiP2O8
1.0
5.135 0.000 0.000
-2.568 4.447 0.000
0.000 0.000 6.733
Th Ni P O
1 1 2 8
Direct
0.000 0.000 0.000
0.000 0.000 0.500
0.333 0.667 0.222
0.667 0.333 0.778
0.168 0.335 0.290
0.168 0.832 0.290
0.333 0.667 0.991
0.335 0.168 0.710
0.665 0.832 0.290
0.667 0.333 0.009
0.832 0.168 0.710
0.832 0.665 0.710
```

Largest 8 diffraction maxima, sorted by position, 10° ≤ 2θ ≤ 90°:
2θ = 13.15°, d = 6.733 Å, I = 41
2θ = 19.96°, d = 4.447 Å, I = 100
2θ = 23.98°, d = 3.711 Å, I = 47
2θ = 33.38°, d = 2.684 Å, I = 71
2θ = 34.94°, d = 2.568 Å, I = 47
2θ = 37.49°, d = 2.399 Å, I = 28
2θ = 44.37°, d = 2.042 Å, I = 34
2θ = 49.10°, d = 1.855 Å, I = 35

---

No. 2
This entry pairs a crystal structure of Ti2NiP3O12 with its theoretical powder XRD pattern. Radiation: a wavelength of 1.5418 Å. Structure: the PBE+U geometry in Alexandria.

Structure:
```
Ti2NiP3O12
1.0
4.326 2.498 6.864
-4.326 2.498 6.864
0.000 -4.995 6.864
Ti Ni P O
4 2 6 24
Direct
0.144 0.144 0.144
0.356 0.356 0.356
0.644 0.644 0.644
0.856 0.856 0.856
0.000 0.000 0.000
0.500 0.500 0.500
0.046 0.750 0.454
0.250 0.546 0.954
0.454 0.046 0.750
0.546 0.954 0.250
0.750 0.454 0.046
0.954 0.250 0.546
0.001 0.820 0.612
0.058 0.909 0.257
0.091 0.743 0.942
0.112 0.320 0.501
0.180 0.388 0.999
0.243 0.591 0.442
0.257 0.058 0.909
0.320 0.501 0.112
0.388 0.999 0.180
0.409 0.558 0.757
0.442 0.243 0.591
0.499 0.888 0.680
0.501 0.112 0.320
0.558 0.757 0.409
0.591 0.442 0.243
0.612 0.001 0.820
0.680 0.499 0.888
0.743 0.942 0.091
0.757 0.409 0.558
0.820 0.612 0.001
0.888 0.680 0.499
0.909 0.257 0.058
0.942 0.091 0.743
0.999 0.180 0.388
```

Largest 8 diffraction maxima, sorted by position, 10° ≤ 2θ ≤ 90°:
2θ = 20.53°, d = 4.326 Å, I = 71
2θ = 24.32°, d = 3.660 Å, I = 100
2θ = 25.30°, d = 3.521 Å, I = 21
2θ = 33.32°, d = 2.689 Å, I = 65
2θ = 35.96°, d = 2.498 Å, I = 34
2θ = 47.75°, d = 1.905 Å, I = 29
2θ = 49.83°, d = 1.830 Å, I = 25
2θ = 56.26°, d = 1.635 Å, I = 20

---

No. 3
This entry pairs a crystal structure of Ti3VNi2P6O24 with its theoretical powder XRD pattern. Radiation: a wavelength of 1.5418 Å. Structure: the PBE+U geometry in Alexandria.

Structure:
```
Ti3VNi2P6O24
1.0
4.320 2.494 6.895
-4.320 2.494 6.895
0.000 -4.989 6.895
Ti V Ni P O
3 1 2 6 24
Direct
0.000 0.000 0.000
0.212 0.212 0.212
0.502 0.502 0.502
0.717 0.717 0.717
0.355 0.355 0.355
0.857 0.857 0.857
0.110 0.400 0.810
0.311 0.904 0.609
0.400 0.810 0.110
0.609 0.311 0.904
0.810 0.110 0.400
0.904 0.609 0.311
0.040 0.240 0.856
0.101 0.447 0.287
0.113 0.913 0.767
0.190 0.341 0.966
0.240 0.856 0.040
0.270 0.412 0.612
0.287 0.101 0.447
0.341 0.966 0.190
0.361 0.739 0.542
0.412 0.612 0.270
0.447 0.287 0.101
0.464 0.871 0.672
0.542 0.361 0.739
0.595 0.806 0.956
0.612 0.270 0.412
0.672 0.464 0.871
0.739 0.542 0.361
0.767 0.113 0.913
0.806 0.956 0.595
0.856 0.040 0.240
0.871 0.672 0.464
0.913 0.767 0.113
0.956 0.595 0.806
0.966 0.190 0.341
```

Largest 8 diffraction maxima, sorted by position, 10° ≤ 2θ ≤ 90°:
2θ = 20.56°, d = 4.320 Å, I = 73
2θ = 24.31°, d = 3.661 Å, I = 100
2θ = 25.31°, d = 3.518 Å, I = 21
2θ = 33.25°, d = 2.695 Å, I = 65
2θ = 36.01°, d = 2.494 Å, I = 34
2θ = 47.65°, d = 1.908 Å, I = 30
2θ = 49.81°, d = 1.831 Å, I = 25
2θ = 56.34°, d = 1.633 Å, I = 20

---

No. 4
This entry pairs a crystal structure of Tl3NiP2O8 with its theoretical powder XRD pattern. Radiation: a wavelength of 1.5418 Å. Structure: the PBE+U geometry in Alexandria.

Structure:
```
Tl3NiP2O8
1.0
5.532 0.000 0.000
-2.766 4.791 0.000
0.000 0.000 7.593
Tl Ni P O
3 1 2 8
Direct
0.000 0.000 0.000
0.333 0.667 0.725
0.667 0.333 0.275
0.000 0.000 0.500
0.333 0.667 0.267
0.667 0.333 0.733
0.179 0.359 0.337
0.179 0.821 0.337
0.333 0.667 0.065
0.359 0.179 0.663
0.641 0.821 0.337
0.667 0.333 0.935
0.821 0.179 0.663
0.821 0.641 0.663
```

Largest 8 diffraction maxima, sorted by position, 10° ≤ 2θ ≤ 90°:
2θ = 21.94°, d = 4.052 Å, I = 74
2θ = 30.03°, d = 2.975 Å, I = 100
2θ = 32.37°, d = 2.766 Å, I = 96
2θ = 39.45°, d = 2.284 Å, I = 32
2θ = 40.31°, d = 2.237 Å, I = 21
2θ = 44.74°, d = 2.026 Å, I = 41
2θ = 56.29°, d = 1.634 Å, I = 34
2θ = 59.02°, d = 1.565 Å, I = 29

---

No. 5
This entry pairs a crystal structure of V3NiP6O24 with its theoretical powder XRD pattern. Radiation: a wavelength of 1.5418 Å. Structure: the PBE+U geometry in Alexandria.

Structure:
```
V3NiP6O24
1.0
4.198 2.424 7.261
-4.198 2.424 7.261
0.000 -4.847 7.261
V Ni P O
3 1 6 24
Direct
0.000 0.000 0.000
0.217 0.217 0.217
0.496 0.496 0.496
0.715 0.715 0.715
0.107 0.825 0.387
0.331 0.604 0.890
0.387 0.107 0.825
0.604 0.890 0.331
0.825 0.387 0.107
0.890 0.331 0.604
0.087 0.255 0.452
0.115 0.845 0.195
0.163 0.804 0.891
0.171 0.982 0.346
0.195 0.115 0.845
0.255 0.452 0.087
0.268 0.628 0.445
0.346 0.171 0.982
0.356 0.564 0.725
0.445 0.268 0.628
0.452 0.087 0.255
0.517 0.590 0.879
0.545 0.910 0.840
0.564 0.725 0.356
0.590 0.879 0.517
0.628 0.445 0.268
0.725 0.356 0.564
0.804 0.891 0.163
0.840 0.545 0.910
0.845 0.195 0.115
0.879 0.517 0.590
0.891 0.163 0.804
0.910 0.840 0.545
0.982 0.346 0.171
```

Largest 8 diffraction maxima, sorted by position, 10° ≤ 2θ ≤ 90°:
2θ = 14.65°, d = 6.047 Å, I = 51
2θ = 20.38°, d = 4.359 Å, I = 60
2θ = 21.16°, d = 4.198 Å, I = 26
2θ = 24.50°, d = 3.634 Å, I = 100
2θ = 29.54°, d = 3.024 Å, I = 50
2θ = 32.61°, d = 2.746 Å, I = 32
2θ = 32.85°, d = 2.727 Å, I = 14
2θ = 58.14°, d = 1.587 Å, I = 13

---

No. 6
This entry pairs a crystal structure of VNi3P4O16 with its theoretical powder XRD pattern. Radiation: a wavelength of 1.5418 Å. Structure: the PBE+U geometry in Alexandria.

Structure:
```
VNi3P4O16
1.0
4.829 0.000 0.000
0.000 5.800 0.000
-0.193 0.000 9.905
V Ni P O
1 3 4 16
Direct
0.000 0.000 0.000
0.406 0.000 0.506
0.507 0.500 0.050
0.911 0.500 0.550
0.029 0.500 0.866
0.345 0.500 0.371
0.583 0.000 0.182
0.863 0.000 0.678
0.130 0.500 0.723
0.172 0.288 0.949
0.172 0.712 0.949
0.173 0.000 0.670
0.199 0.291 0.441
0.199 0.709 0.441
0.273 0.000 0.136
0.295 0.500 0.217
0.621 0.000 0.331
0.661 0.500 0.391
0.706 0.209 0.616
0.706 0.791 0.616
0.720 0.500 0.885
0.739 0.201 0.104
0.739 0.799 0.104
0.812 0.000 0.841
```

Largest 8 diffraction maxima, sorted by position, 10° ≤ 2θ ≤ 90°:
2θ = 17.91°, d = 4.952 Å, I = 100
2θ = 20.30°, d = 4.374 Å, I = 45
2θ = 20.62°, d = 4.307 Å, I = 61
2θ = 25.51°, d = 3.492 Å, I = 71
2θ = 25.76°, d = 3.458 Å, I = 78
2θ = 30.83°, d = 2.900 Å, I = 99
2θ = 36.14°, d = 2.485 Å, I = 74
2θ = 36.70°, d = 2.448 Å, I = 64

---

No. 7
This entry pairs a crystal structure of V2NiP2O10 with its theoretical powder XRD pattern. Radiation: a wavelength of 1.5418 Å. Structure: the PBE+U geometry in Alexandria.

Structure:
```
V2NiP2O10
1.0
6.427 0.000 0.000
0.000 7.411 0.000
-0.009 0.000 7.369
V Ni P O
4 2 4 20
Direct
0.244 0.222 0.164
0.244 0.278 0.664
0.756 0.722 0.336
0.756 0.778 0.836
0.500 0.000 0.500
0.500 0.500 0.000
0.249 0.623 0.372
0.249 0.877 0.872
0.751 0.123 0.128
0.751 0.377 0.628
0.055 0.742 0.353
0.055 0.758 0.853
0.242 0.510 0.547
0.242 0.990 0.047
0.272 0.165 0.390
0.272 0.335 0.890
0.278 0.004 0.705
0.278 0.496 0.205
0.439 0.746 0.877
0.439 0.754 0.377
0.561 0.246 0.623
0.561 0.254 0.123
0.722 0.504 0.795
0.722 0.996 0.295
0.728 0.665 0.110
0.728 0.835 0.610
0.758 0.010 0.953
0.758 0.490 0.453
0.945 0.242 0.147
0.945 0.258 0.647
```

Largest 8 diffraction maxima, sorted by position, 10° ≤ 2θ ≤ 90°:
2θ = 13.78°, d = 6.427 Å, I = 32
2θ = 18.27°, d = 4.855 Å, I = 24
2θ = 21.93°, d = 4.053 Å, I = 55
2θ = 27.00°, d = 3.302 Å, I = 100
2θ = 27.77°, d = 3.212 Å, I = 39
2θ = 32.72°, d = 2.737 Å, I = 42
2θ = 34.32°, d = 2.613 Å, I = 18
2θ = 39.08°, d = 2.305 Å, I = 32